Computed powder XRD pattern of Li5PmGa7 for λ = 1.5418 Å (Cu Kα), from a cell relaxed with GGA-PBE.
Intensities are scaled so that the largest is 100.

Lattice parameters (Å, degrees): 6.9068 6.9068 6.9068 133.82 99.47 98.23
Atoms (fractional coordinates):
Li1 0.0000 0.0000 0.0000
Li2 0.2763 0.2803 0.5037
Li3 0.2763 0.7726 0.9960
Li4 0.7766 0.2803 0.0040
Li5 0.7766 0.7726 0.4963
Pm1 0.7687 0.2687 0.5000
Ga1 0.1204 0.2719 0.8484
Ga2 0.1294 0.6294 0.5000
Ga3 0.4235 0.2719 0.1516
Ga4 0.4275 0.9275 0.5000
Ga5 0.5520 0.5520 0.0000
Ga6 0.5639 0.7810 0.7829
Ga7 0.9981 0.7810 0.2171

The 10 most intense peaks (2θ from 10° to 90°), sorted by position:
19.1 deg, intensity 24
19.6 deg, intensity 69
27.7 deg, intensity 29
33.1 deg, intensity 87
34.0 deg, intensity 43
34.4 deg, intensity 73
38.8 deg, intensity 32
39.7 deg, intensity 85
39.9 deg, intensity 100
72.4 deg, intensity 31